(1)
This entry pairs a crystal structure of KRbMg14 with its theoretical X-ray diffraction stick pattern. Radiation: Cu Ka. Structure: the GGA-PBE geometry in the Materials Project.

Largest 10 diffraction maxima, in order of rising 2θ, 10 to 90 degrees two-theta:
2theta, I/Imax
22.50, 14
29.91, 26
34.02, 23
34.51, 100
45.92, 15
53.10, 18
61.21, 18
64.58, 19
64.88, 14
88.57, 11

Cell and atoms:
```
16
Lattice="6.899 0.000 0.000 -3.450 5.975 0.000 0.000 0.000 10.540" Properties=species:S:1:pos:R:3 pbc="T T T"
K 0.000 0.000 0.000
Rb 0.000 0.000 5.270
Mg -1.696 3.004 0.000
Mg -1.689 3.008 5.270
Mg 0.000 2.154 2.605
Mg 0.000 2.154 7.935
Mg -1.584 4.898 2.605
Mg -1.584 4.898 7.935
Mg 1.696 3.004 0.000
Mg 1.689 3.008 5.270
Mg 0.000 5.934 5.270
Mg 0.000 5.942 0.000
Mg 1.584 4.898 2.605
Mg 1.584 4.898 7.935
Mg 3.450 1.992 2.640
Mg 3.450 1.992 7.900
```



(2)
This entry pairs a crystal structure of K3MgSbS4 with its theoretical X-ray diffraction stick pattern. Radiation: Cu Ka. Structure: the GGA-PBE geometry in the Materials Project.

Largest 10 diffraction maxima, in order of rising 2θ, 10 to 90 degrees two-theta:
2theta, I/Imax
13.58, 45
18.09, 53
20.34, 15
22.68, 33
27.35, 100
31.59, 20
32.98, 17
36.64, 43
41.37, 31
45.65, 15

Cell and atoms:
```
9
Lattice="4.905 2.832 3.392 -4.905 2.832 3.392 0.000 -5.664 3.392" Properties=species:S:1:pos:R:3 pbc="T T T"
K 0.000 -2.489 3.392
K -2.155 1.244 3.392
K 2.155 1.244 3.392
Mg 0.000 0.000 9.392
Sb 0.000 0.000 6.530
S -3.130 -1.807 4.506
S 0.000 0.000 1.515
S 3.130 -1.807 4.506
S 0.000 3.614 4.506
```



(3)
This entry pairs a crystal structure of K3MgSbS4 with its theoretical X-ray diffraction stick pattern. Radiation: Cu Ka. Structure: the GGA-PBE geometry in the Materials Project.

Largest 10 diffraction maxima, in order of rising 2θ, 10 to 90 degrees two-theta:
2theta, I/Imax
14.71, 76
16.62, 44
23.99, 100
24.39, 34
29.66, 46
34.76, 57
37.40, 47
37.97, 35
41.96, 31
42.68, 30

Cell and atoms:
```
9
Lattice="-3.650 3.650 5.334 3.650 -3.650 5.334 3.650 3.650 -5.334" Properties=species:S:1:pos:R:3 pbc="T T T"
K 0.000 0.000 0.000
K 3.650 0.000 0.974
K 3.650 0.000 4.360
Mg 0.000 3.650 2.667
Sb 0.000 0.000 5.334
S 2.390 1.710 -1.352
S 1.939 -1.260 6.686
S 1.260 1.939 3.981
S 1.710 4.909 1.352
```



(4)
This entry pairs a crystal structure of K3MgSbS4 with its theoretical X-ray diffraction stick pattern. Radiation: Cu Ka. Structure: the GGA-PBE geometry in the Materials Project.

Largest 10 diffraction maxima, in order of rising 2θ, 10 to 90 degrees two-theta:
2theta, I/Imax
14.49, 100
16.71, 40
23.87, 34
25.34, 25
27.93, 26
29.09, 24
30.68, 25
33.75, 33
34.87, 41
44.56, 27

Cell and atoms:
```
9
Lattice="0.000 6.140 5.304 4.692 0.000 5.304 4.692 6.140 0.000" Properties=species:S:1:pos:R:3 pbc="T T T"
K 0.000 0.000 0.000
K 2.346 3.070 2.214
K 7.038 9.210 7.518
Mg 4.692 6.140 3.820
Sb 4.692 6.140 7.103
S 6.656 6.140 2.381
S 4.692 4.260 5.508
S 2.728 6.140 2.381
S 4.692 8.019 5.508
```



(5)
This entry pairs a crystal structure of K4MgTi2S6 with its theoretical X-ray diffraction stick pattern. Radiation: Cu Ka. Structure: the GGA-PBE geometry in the Materials Project.

Largest 10 diffraction maxima, in order of rising 2θ, 10 to 90 degrees two-theta:
2theta, I/Imax
11.88, 89
26.68, 66
28.85, 92
29.52, 65
30.90, 100
32.30, 42
32.90, 59
34.67, 58
36.19, 43
39.19, 45

Cell and atoms:
```
13
Lattice="6.646 0.000 0.000 0.934 6.675 0.000 2.092 0.119 7.450" Properties=species:S:1:pos:R:3 pbc="T T T"
K 0.000 0.000 0.000
K 1.717 2.063 3.563
K 4.898 3.092 5.059
K 6.850 5.917 4.974
Mg 1.182 3.321 0.594
Ti 4.464 5.964 2.049
Ti 4.692 3.040 1.007
S 3.385 5.719 4.020
S 2.750 1.416 0.633
S 3.184 4.748 0.349
S 5.132 1.203 2.610
S 6.325 4.389 2.243
S 8.092 3.024 6.470
```



(6)
This entry pairs a crystal structure of K4MgTi2S6 with its theoretical X-ray diffraction stick pattern. Radiation: Cu Ka. Structure: the GGA-PBE geometry in the Materials Project.

Largest 10 diffraction maxima, in order of rising 2θ, 10 to 90 degrees two-theta:
2theta, I/Imax
13.44, 100
24.09, 31
26.97, 49
28.55, 49
29.61, 59
32.70, 64
33.21, 32
36.06, 32
41.07, 33
45.14, 34

Cell and atoms:
```
13
Lattice="6.838 -3.807 0.000 6.838 3.807 0.000 -1.854 0.000 6.667" Properties=species:S:1:pos:R:3 pbc="T T T"
K 3.870 1.637 0.807
K 1.270 0.000 3.011
K 7.951 1.637 5.860
K 10.551 0.000 3.656
Mg 6.838 0.598 0.000
Ti 5.911 -0.613 3.334
Ti 6.838 -2.256 0.000
S 6.838 3.003 0.000
S 5.911 1.639 3.334
S 3.864 -0.812 4.945
S 4.824 -1.647 1.487
S 7.957 -0.812 1.722
S 6.997 -1.647 5.181
```